No. 1
For LaTaN3, a crystal structure in Alexandria, relaxed with PBE gives the theoretical powder XRD pattern in this record (λ = 1.5418 Å (Cu Kα)).

Peak list (12 most intense, 2θ = 10–80°, by angle)
- 16.78°, I = 61
- 18.78°, I = 64
- 27.31°, I = 67
- 27.51°, I = 78
- 29.49°, I = 100
- 29.99°, I = 43
- 31.49°, I = 74
- 31.71°, I = 73
- 32.32°, I = 84
- 43.06°, I = 30
- 51.95°, I = 40
- 55.97°, I = 36

Cell and atoms:
```
LaTaN3
1.0
5.672 0.000 0.000
-2.353 5.165 0.000
-1.910 -1.386 5.284
La Ta N
2 2 6
Cartesian
0.000 0.000 0.000
0.713 0.502 3.671
1.030 3.551 1.880
3.380 1.579 2.047
-0.409 2.164 1.906
1.996 -0.013 1.380
3.175 0.144 0.485
2.428 2.906 0.625
2.059 2.452 3.312
3.860 -0.021 3.270
```

---

No. 2
For RbHf2VRe, a crystal structure in Alexandria, relaxed with PBE gives the theoretical powder XRD pattern in this record (λ = 1.5418 Å (Cu Kα)).

Peak list (12 most intense, 2θ = 10–80°, by angle)
- 15.36°, I = 100
- 17.51°, I = 46
- 23.38°, I = 21
- 29.36°, I = 52
- 31.01°, I = 55
- 35.45°, I = 77
- 38.84°, I = 42
- 47.81°, I = 66
- 51.01°, I = 27
- 53.60°, I = 17
- 60.91°, I = 32
- 75.95°, I = 17

Cell and atoms:
```
RbHf2VRe
1.0
5.064 0.000 0.000
0.000 5.064 0.000
0.000 0.000 5.767
Rb Hf V Re
1 2 1 1
Cartesian
0.000 0.000 0.000
0.000 2.532 2.884
2.532 0.000 2.884
2.532 2.532 0.000
0.000 0.000 2.884
```

---

No. 3
For Tl3Cd4Sn4, a crystal structure in Alexandria, relaxed with PBE gives the theoretical powder XRD pattern in this record (λ = 1.5418 Å (Cu Kα)).

Peak list (12 most intense, 2θ = 10–80°, by angle)
- 32.74°, I = 57
- 32.95°, I = 56
- 33.28°, I = 49
- 33.51°, I = 48
- 33.88°, I = 100
- 46.97°, I = 21
- 47.31°, I = 21
- 49.47°, I = 13
- 55.43°, I = 13
- 59.18°, I = 20
- 66.44°, I = 14
- 66.71°, I = 14

Cell and atoms:
```
Tl3Cd4Sn4
1.0
3.186 -16.624 0.000
3.186 16.624 0.000
-1.701 0.000 2.846
Tl Cd Sn
3 4 4
Cartesian
0.000 0.000 0.000
2.336 4.639 1.423
2.336 -4.639 1.423
2.336 13.572 1.423
3.186 7.700 0.000
3.186 -7.700 0.000
2.336 -13.572 1.423
2.336 10.465 1.423
3.186 1.573 0.000
3.186 -1.573 0.000
2.336 -10.465 1.423
```

---

No. 4
For Tb3TlCo, a crystal structure in Alexandria, relaxed with PBE gives the theoretical powder XRD pattern in this record (λ = 1.5418 Å (Cu Kα)).

Peak list (12 most intense, 2θ = 10–80°, by angle)
- 29.98°, I = 19
- 30.39°, I = 69
- 30.69°, I = 100
- 32.53°, I = 52
- 33.23°, I = 62
- 36.23°, I = 25
- 40.05°, I = 21
- 47.19°, I = 37
- 52.94°, I = 32
- 57.61°, I = 23
- 57.80°, I = 21
- 63.90°, I = 16

Cell and atoms:
```
Tb3TlCo
1.0
5.977 -2.696 0.000
5.977 2.696 0.000
-3.507 0.000 8.296
Tb Tl Co
6 2 2
Cartesian
0.507 0.000 1.777
-0.454 0.000 5.479
4.224 0.000 0.726
4.223 0.000 7.570
8.901 0.000 2.817
7.940 0.000 6.519
2.718 0.000 4.580
5.729 0.000 3.716
-1.661 0.000 7.796
10.108 0.000 0.500
```